Diffraction record for PaV4. The powder diffraction line list is simulated, not measured: it uses a PBE-relaxed structure and a wavelength of 1.5418 Å.

Crystal structure
Unit cell a=4.5860 b=4.5860 c=4.5860 alpha=90.00 beta=90.00 gamma=90.00
Space group Pm-3m (No. 221)
Symmetry-distinct sites (fractional):
Pa  0.0000  0.0000  0.0000 x1
V  0.0000  0.0000  0.5000 x3
V  0.5000  0.5000  0.5000 x1

Largest 9 diffraction maxima, sorted by position, 2θ from 5° to 70°:
(1 0 0), 2θ 19.36, rel. 100.0; (1 1 0), 2θ 27.51, rel. 86.5; (2 0 0), 2θ 39.29, rel. 60.4; (2 1 0), 2θ 44.16, rel. 49.7; (2 1 1), 2θ 48.63, rel. 37.8; (2 2 0), 2θ 56.78, rel. 39.9; (3 0 0), 2θ 60.57, rel. 24.9; (3 1 0), 2θ 64.23, rel. 16.8; (3 1 1), 2θ 67.77, rel. 0.6

***

Diffraction record for Pa3V. The powder diffraction line list is simulated, not measured: it uses a PBE-relaxed structure and a wavelength of 1.5418 Å.

Crystal structure
Unit cell a=4.3110 b=4.3110 c=9.5638 alpha=90.00 beta=90.00 gamma=90.00
Space group I4/mmm (No. 139)
Symmetry-distinct sites (fractional):
Pa  0.0000  0.0000  0.0000 x2
Pa  0.0000  0.5000  0.2500 x4
V  0.0000  0.0000  0.5000 x2

Largest 10 diffraction maxima, sorted by position, 2θ from 5° to 70°:
(0 0 2), 2θ 18.55, rel. 6.6; (1 0 1), 2θ 22.62, rel. 16.7; (1 1 2), 2θ 34.91, rel. 100.0; (1 0 3), 2θ 35.01, rel. 5.8; (0 0 4), 2θ 37.62, rel. 20.5; (2 0 0), 2θ 41.91, rel. 30.4; (2 1 1), 2θ 48.15, rel. 5.0; (2 0 4), 2θ 57.57, rel. 24.3; (2 2 0), 2θ 60.77, rel. 10.3; (1 1 6), 2θ 66.16, rel. 16.1

***

Diffraction record for YPaZn4. The powder diffraction line list is simulated, not measured: it uses a PBE-relaxed structure and a wavelength of 1.5418 Å.

Crystal structure
Unit cell a=3.3289 b=4.5341 c=7.8408 alpha=90.00 beta=90.00 gamma=90.00
Space group Pmmm (No. 47)
Symmetry-distinct sites (fractional):
Y  0.0000  0.0000  0.0000 x1
Pa  0.0000  0.5000  0.5000 x1
Zn  0.5000  0.0000  0.3320 x2
Zn  0.5000  0.5000  0.1657 x2

Largest 10 diffraction maxima, sorted by position, 2θ from 5° to 70°:
(0 0 1), 2θ 11.29, rel. 18.6; (0 1 0), 2θ 19.58, rel. 5.8; (0 1 1), 2θ 22.66, rel. 21.6; (1 0 1), 2θ 29.14, rel. 4.8; (0 1 2), 2θ 30.13, rel. 4.5; (1 0 2), 2θ 35.36, rel. 100.0; (0 2 0), 2θ 39.79, rel. 62.0; (1 2 2), 2θ 54.28, rel. 29.1; (2 0 0), 2θ 55.18, rel. 7.9; (1 1 5), 2θ 69.38, rel. 27.5

***

Diffraction record for PaZn6. The powder diffraction line list is simulated, not measured: it uses a PBE-relaxed structure and a wavelength of 1.5418 Å.

Crystal structure
Unit cell a=8.7261 b=5.1305 c=10.5377 alpha=90.00 beta=90.00 gamma=90.00
Space group Pnma (No. 62)
Symmetry-distinct sites (fractional):
Pa  0.2404  0.2500  0.0570 x4
Zn  0.0526  0.7500  0.0863 x4
Zn  0.0715  0.0116  0.3055 x8
Zn  0.0801  0.2500  0.5240 x4
Zn  0.1363  0.7500  0.8502 x4
Zn  0.1929  0.2500  0.7509 x4

Largest 10 diffraction maxima, sorted by position, 2θ from 5° to 70°:
(1 1 1), 2θ 21.79, rel. 42.8; (0 1 3), 2θ 30.85, rel. 20.8; (0 2 0), 2θ 34.98, rel. 30.3; (1 0 4), 2θ 35.60, rel. 53.5; (3 1 1), 2θ 36.52, rel. 100.0; (2 1 3), 2θ 37.24, rel. 81.5; (0 2 2), 2θ 39.05, rel. 27.0; (2 2 0), 2θ 40.81, rel. 23.0; (1 2 3), 2θ 44.97, rel. 26.0; (6 0 0), 2θ 64.03, rel. 28.2